1.
For Li7Mn2Co3O12, a GGA+U-relaxed structure gives the simulated powder XRD pattern in this record (Cu Kα).
Lines closer than 0.1° are merged.

Atomic structure:
a b c (Å): 4.9874 6.4978 6.8167
angles (deg): 84.59 80.39 82.86
Element x y z (fractional)
Li: 0.0000 0.0000 0.0000
Li: 0.0004 0.3513 0.6670
Li: 0.2507 0.5923 0.9204
Li: 0.4914 0.8331 0.1635
Li: 0.5009 0.5133 0.5041
Li: 0.5036 0.1817 0.8440
Li: 0.9957 0.6736 0.3302
Mn: 0.2467 0.2648 0.2458
Mn: 0.7488 0.0924 0.4176
Co: 0.2500 0.9197 0.5911
Co: 0.7484 0.4304 0.0793
Co: 0.7477 0.7490 0.7632
O: 0.0886 0.6503 0.6350
O: 0.1119 0.3003 0.9951
O: 0.1172 0.9833 0.2975
O: 0.3773 0.2134 0.5146
O: 0.3818 0.5280 0.2102
O: 0.4071 0.8793 0.8547
O: 0.6071 0.1603 0.1231
O: 0.6071 0.8195 0.4582
O: 0.6352 0.4855 0.7878
O: 0.8561 0.6962 0.0425
O: 0.8908 0.0264 0.7146
O: 0.8915 0.3625 0.3799

Principal peaks in the range 10° ≤ 2θ ≤ 80°, by intensity:
- 2θ 18.4, intensity 100
- 2θ 41.7, intensity 34
- 2θ 44.2, intensity 27
- 2θ 44.7, intensity 26
- 2θ 34.7, intensity 19
- 2θ 62.6, intensity 16
- 2θ 36.3, intensity 12
- 2θ 36.8, intensity 11
- 2θ 62.2, intensity 8
- 2θ 63.1, intensity 8

=====

2.
For Li7Mn4CoO12, a GGA+U-relaxed structure gives the simulated powder XRD pattern in this record (Cu Kα).
Lines closer than 0.1° are merged.

Atomic structure:
a b c (Å): 2.9606 5.9926 12.6002
angles (deg): 76.59 88.28 86.52
Element x y z (fractional)
Li: 0.0000 0.0000 0.0000
Li: 0.0001 0.3366 0.3319
Li: 0.0009 0.8374 0.3332
Li: 0.0025 0.6733 0.6651
Li: 0.4979 0.5124 0.4901
Li: 0.5007 0.8392 0.8300
Li: 0.5030 0.1585 0.1766
Mn: 0.0056 0.5072 0.9987
Mn: 0.4974 0.0007 0.4926
Mn: 0.5005 0.3341 0.8298
Mn: 0.5048 0.6743 0.1741
Co: 0.9914 0.1655 0.6642
O: 0.0193 0.7849 0.5001
O: 0.0220 0.4511 0.1612
O: 0.0362 0.5767 0.8365
O: 0.4670 0.9391 0.6574
O: 0.4679 0.2645 0.9938
O: 0.4966 0.5901 0.3212
O: 0.5045 0.0849 0.3448
O: 0.5316 0.4034 0.6678
O: 0.5372 0.7416 0.0072
O: 0.9691 0.0959 0.8232
O: 0.9789 0.2216 0.5059
O: 0.9831 0.8898 0.1662

Principal peaks in the range 10° ≤ 2θ ≤ 80°, by intensity:
- 2θ 18.3, intensity 100
- 2θ 44.4, intensity 55
- 2θ 41.6, intensity 34
- 2θ 34.7, intensity 16
- 2θ 36.6, intensity 13
- 2θ 36.3, intensity 12
- 2θ 15.3, intensity 10
- 2θ 62.1, intensity 8
- 2θ 62.9, intensity 8
- 2θ 62.2, intensity 8

=====

3.
For Li3MnCoO5, a GGA+U-relaxed structure gives the simulated powder XRD pattern in this record (Cu Kα).
Lines closer than 0.1° are merged.

Atomic structure:
a b c (Å): 3.0276 5.0814 12.4031
angles (deg): 79.27 87.87 76.98
Element x y z (fractional)
Li: 0.0000 0.0000 0.0000
Li: 0.1035 0.8014 0.7026
Li: 0.2991 0.3938 0.1005
Li: 0.5000 0.0000 0.5000
Li: 0.7009 0.6062 0.8995
Li: 0.8965 0.1986 0.2974
Mn: 0.1959 0.6024 0.3970
Mn: 0.8041 0.3976 0.6030
Co: 0.4107 0.1905 0.8104
Co: 0.5893 0.8095 0.1896
O: 0.0586 0.9275 0.8471
O: 0.1265 0.6909 0.5454
O: 0.2624 0.5213 0.2510
O: 0.3460 0.2995 0.9355
O: 0.4659 0.1152 0.6610
O: 0.5341 0.8848 0.3390
O: 0.6540 0.7005 0.0645
O: 0.7376 0.4787 0.7490
O: 0.8735 0.3091 0.4546
O: 0.9414 0.0725 0.1529

Principal peaks in the range 10° ≤ 2θ ≤ 80°, by intensity:
- 2θ 18.4, intensity 100
- 2θ 40.5, intensity 40
- 2θ 44.4, intensity 29
- 2θ 45.1, intensity 26
- 2θ 33.8, intensity 21
- 2θ 36.9, intensity 13
- 2θ 14.5, intensity 12
- 2θ 36.5, intensity 12
- 2θ 61.8, intensity 10
- 2θ 62.4, intensity 9

=====

4.
For Li2MnCoO4, a GGA+U-relaxed structure gives the simulated powder XRD pattern in this record (Cu Kα).
Lines closer than 0.1° are merged.

Atomic structure:
a b c (Å): 2.8884 2.9938 19.5626
angles (deg): 89.23 86.96 62.73
Element x y z (fractional)
Li: 0.0000 0.0000 0.0000
Li: 0.2366 0.2554 0.2478
Li: 0.4942 0.4971 0.5008
Li: 0.7524 0.7354 0.7530
Mn: 0.1210 0.1178 0.6272
Mn: 0.8659 0.8767 0.3742
Co: 0.3761 0.3663 0.8765
Co: 0.6215 0.6227 0.1239
O: 0.0819 0.0463 0.8199
O: 0.2140 0.1413 0.4328
O: 0.3279 0.3019 0.0674
O: 0.4703 0.3810 0.6857
O: 0.5171 0.6124 0.3158
O: 0.6720 0.6843 0.9332
O: 0.7734 0.8532 0.5687
O: 0.9140 0.9421 0.1806

Principal peaks in the range 10° ≤ 2θ ≤ 80°, by intensity:
- 2θ 18.2, intensity 100
- 2θ 40.8, intensity 32
- 2θ 43.2, intensity 26
- 2θ 44.7, intensity 23
- 2θ 33.9, intensity 20
- 2θ 36.6, intensity 17
- 2θ 35.6, intensity 14
- 2θ 64.6, intensity 10
- 2θ 60.6, intensity 8
- 2θ 61.3, intensity 8

=====

5.
For Li7Mn4CoO12, a GGA+U-relaxed structure gives the simulated powder XRD pattern in this record (Cu Kα).
Lines closer than 0.1° are merged.

Atomic structure:
a b c (Å): 2.9308 5.9474 24.6977
angles (deg): 90.32 90.44 91.75
Element x y z (fractional)
Li: 0.0000 0.0000 0.0000
Li: 0.0000 0.5000 0.5000
Li: 0.0064 0.4893 0.1738
Li: 0.0065 0.9886 0.6755
Li: 0.4995 0.2493 0.4171
Li: 0.4994 0.2515 0.7497
Li: 0.4986 0.7485 0.7499
Li: 0.4986 0.7480 0.9169
Li: 0.5014 0.2520 0.0831
Li: 0.5014 0.2515 0.2501
Li: 0.5006 0.7485 0.2503
Li: 0.5005 0.7507 0.5829
Li: 0.9935 0.0114 0.3245
Li: 0.9936 0.5107 0.8262
Mn: 0.0054 0.9936 0.8291
Mn: 0.0140 0.4949 0.3299
Mn: 0.4974 0.2456 0.5829
Mn: 0.4989 0.7487 0.0839
Mn: 0.5011 0.2513 0.9161
Mn: 0.5026 0.7544 0.4171
Mn: 0.9860 0.5051 0.6701
Mn: 0.9946 0.0064 0.1709
Co: 0.0000 0.0000 0.5000
Co: 0.0000 0.5000 0.0000
O: 0.0000 0.0020 0.7560
O: 0.0000 0.9980 0.2440
O: 0.0029 0.5012 0.2564
O: 0.0171 0.0147 0.9121
O: 0.0171 0.5184 0.0868
O: 0.0380 0.0069 0.5793
O: 0.0435 0.5134 0.4133
O: 0.4771 0.2760 0.6652
O: 0.4855 0.7780 0.4982
O: 0.4867 0.7786 0.1650
O: 0.4927 0.7803 0.8332
O: 0.4958 0.2555 0.9941
O: 0.5004 0.2797 0.3335
O: 0.4996 0.7203 0.6665
O: 0.5042 0.7445 0.0059
O: 0.5073 0.2197 0.1668
O: 0.5133 0.2214 0.8350
O: 0.5145 0.2220 0.5018
O: 0.5229 0.7240 0.3348
O: 0.9565 0.4866 0.5867
O: 0.9620 0.9931 0.4207
O: 0.9829 0.4816 0.9132
O: 0.9829 0.9853 0.0879
O: 0.9971 0.4988 0.7436

Principal peaks in the range 10° ≤ 2θ ≤ 80°, by intensity:
- 2θ 18.4, intensity 100
- 2θ 44.0, intensity 55
- 2θ 42.7, intensity 32
- 2θ 35.4, intensity 14
- 2θ 36.4, intensity 13
- 2θ 36.1, intensity 13
- 2θ 15.3, intensity 9
- 2θ 58.0, intensity 9
- 2θ 63.5, intensity 8
- 2θ 62.9, intensity 8

=====

6.
For Li4MnCo2O7, a GGA+U-relaxed structure gives the simulated powder XRD pattern in this record (Cu Kα).
Lines closer than 0.1° are merged.

Atomic structure:
a b c (Å): 17.0286 17.0286 5.1855
angles (deg): 93.31 93.31 9.82
Element x y z (fractional)
Li: 0.0000 0.0000 0.0000
Li: 0.1414 0.1414 0.7064
Li: 0.2884 0.2884 0.4254
Li: 0.4305 0.4305 0.1285
Li: 0.5005 0.5005 0.4975
Li: 0.5675 0.5675 0.8650
Li: 0.7150 0.7150 0.5688
Li: 0.8617 0.8617 0.2828
Mn: 0.6432 0.6432 0.2101
Mn: 0.7866 0.7866 0.9180
Co: 0.0666 0.0666 0.3808
Co: 0.2151 0.2151 0.0703
Co: 0.3618 0.3618 0.7730
Co: 0.9347 0.9347 0.6182
O: 0.0402 0.0402 0.6670
O: 0.1132 0.1132 0.0504
O: 0.1749 0.1749 0.3794
O: 0.2546 0.2546 0.7559
O: 0.3180 0.3180 0.0737
O: 0.3918 0.3918 0.4845
O: 0.4618 0.4618 0.8057
O: 0.5398 0.5398 0.1910
O: 0.6080 0.6080 0.4885
O: 0.6788 0.6788 0.9232
O: 0.7524 0.7524 0.2125
O: 0.8211 0.8211 0.6345
O: 0.8905 0.8905 0.9552
O: 0.9617 0.9617 0.3343

Principal peaks in the range 10° ≤ 2θ ≤ 80°, by intensity:
- 2θ 18.2, intensity 100
- 2θ 43.6, intensity 55
- 2θ 36.0, intensity 28
- 2θ 42.7, intensity 27
- 2θ 62.5, intensity 15
- 2θ 35.3, intensity 14
- 2θ 62.8, intensity 13
- 2θ 47.3, intensity 12
- 2θ 57.3, intensity 9
- 2θ 63.9, intensity 8